Na2PuCrO8: theoretical PXRD pattern (CuKα), based on the PBE+U geometry in Alexandria.
Lines closer than 0.1° are merged.

Top 10 peaks for 10 to 80 degrees two-theta, by intensity:
two_theta, d [Å], intensity, hkl
15.79, 5.611, 100, 1 0 0
27.53, 3.239, 39, 1 1 0
22.59, 3.936, 34, 1 0 1
36.26, 2.477, 25, 0 1 2
54.56, 1.682, 23, 1 2 2
46.13, 1.968, 20, 2 0 2
32.03, 2.794, 13, 1 1 1
45.83, 1.980, 12, 2 1 1
35.90, 2.501, 12, 2 0 1
16.05, 5.522, 11, 0 0 1

Cell: 6.479 6.479 5.522 Å, 90.00 90.00 120.00°
Positions (direct):
Na: 0.333 0.667 0.229
Na: 0.667 0.333 0.771
Pu: 0.000 0.000 0.500
Cr: 0.000 0.000 0.000
O: 0.131 0.262 0.252
O: 0.131 0.869 0.252
O: 0.262 0.131 0.748
O: 0.333 0.667 0.751
O: 0.667 0.333 0.249
O: 0.738 0.869 0.252
O: 0.869 0.131 0.748
O: 0.869 0.738 0.748